Entry 1:
This entry pairs a crystal structure of LiSm4Ag3 with its calculated X-ray diffraction stick pattern. Radiation: λ = 1.5418 Å (Cu Kα). Structure: DFT lattice parameters and positions (GGA-PBE).

Principal peaks in the range 2θ from 5° to 70°, by intensity:
2theta, d [Å], I (rel.)
34.1, 2.631, 100
61.0, 1.519, 27
49.0, 1.861, 17
23.9, 3.722, 9
60.9, 1.521, 8
55.2, 1.664, 4
19.8, 4.485, 3
10.3, 8.609, 3
20.7, 4.297, 3
46.9, 1.939, 3

Structure:
```
data_LiSm4Ag3
_space_group_name_H-M_alt 'P 1'
_space_group_IT_number 1
_space_group_name_Hall 'P 1'
_cell_length_a 9.1288
_cell_length_b 9.1288
_cell_length_c 9.1288
_cell_angle_alpha 33.48
_cell_angle_beta 33.48
_cell_angle_gamma 33.48
loop_
_atom_site_label
_atom_site_fract_x
_atom_site_fract_y
_atom_site_fract_z
_atom_site_occupancy
Li1 0.0000 0.0000 0.0000 1
Sm1 0.1272 0.1272 0.1272 1
Sm2 0.3776 0.3776 0.3776 1
Sm3 0.6224 0.6224 0.6224 1
Sm4 0.8728 0.8728 0.8728 1
Ag1 0.2560 0.2560 0.2560 1
Ag2 0.5000 0.5000 0.5000 1
Ag3 0.7440 0.7440 0.7440 1
```

=====

Entry 2:
This entry pairs a crystal structure of PuThPd3 with its calculated X-ray diffraction stick pattern. Radiation: λ = 1.5418 Å (Cu Kα). Structure: DFT lattice parameters and positions (GGA-PBE).

Principal peaks in the range 2θ from 5° to 70°, by intensity:
2theta, d [Å], I (rel.)
36.1, 2.491, 100
27.9, 3.197, 93
39.0, 2.310, 92
36.6, 2.455, 46
42.9, 2.106, 44
24.6, 3.618, 34
28.6, 3.117, 27
57.7, 1.599, 25
42.8, 2.113, 23
30.9, 2.895, 21

Structure:
```
data_PuThPd3
_space_group_name_H-M_alt 'P 1'
_space_group_IT_number 1
_space_group_name_Hall 'P 1'
_cell_length_a 4.2122
_cell_length_b 5.7898
_cell_length_c 9.2690
_cell_angle_alpha 90.00
_cell_angle_beta 90.00
_cell_angle_gamma 90.00
loop_
_atom_site_label
_atom_site_fract_x
_atom_site_fract_y
_atom_site_fract_z
_atom_site_occupancy
Pu1 0.2500 0.2500 0.0463 1
Pu2 0.7500 0.7500 0.9537 1
Th1 0.2500 0.7500 0.3943 1
Th2 0.7500 0.2500 0.6057 1
Pd1 0.2500 0.2500 0.3721 1
Pd2 0.2500 0.5060 0.7696 1
Pd3 0.2500 0.9940 0.7696 1
Pd4 0.7500 0.0060 0.2304 1
Pd5 0.7500 0.4940 0.2304 1
Pd6 0.7500 0.7500 0.6279 1
```

=====

Entry 3:
This entry pairs a crystal structure of Pm7PrTm3 with its calculated X-ray diffraction stick pattern. Radiation: λ = 1.5418 Å (Cu Kα). Structure: DFT lattice parameters and positions (GGA-PBE).

Principal peaks in the range 2θ from 5° to 70°, by intensity:
2theta, d [Å], I (rel.)
31.6, 2.834, 100
32.0, 2.796, 88
31.8, 2.811, 80
31.3, 2.857, 61
33.0, 2.715, 45
31.1, 2.880, 29
27.1, 3.294, 28
31.6, 2.827, 26
32.3, 2.776, 21
34.2, 2.622, 19

Structure:
```
data_Pm7PrTm3
_space_group_name_H-M_alt 'P 1'
_space_group_IT_number 1
_space_group_name_Hall 'P 1'
_cell_length_a 6.5558
_cell_length_b 6.7514
_cell_length_c 8.7449
_cell_angle_alpha 99.75
_cell_angle_beta 99.04
_cell_angle_gamma 95.81
loop_
_atom_site_label
_atom_site_fract_x
_atom_site_fract_y
_atom_site_fract_z
_atom_site_occupancy
Pm1 0.0000 0.0000 0.0000 1
Pm2 0.0510 0.7104 0.6403 1
Pm3 0.2224 0.2227 0.7100 1
Pm4 0.4850 0.7400 0.9110 1
Pm5 0.5150 0.2600 0.0890 1
Pm6 0.7776 0.7773 0.2900 1
Pm7 0.9490 0.2896 0.3597 1
Pr1 0.0000 0.5000 0.0000 1
Tm1 0.3108 0.9315 0.3393 1
Tm2 0.5000 0.5000 0.5000 1
Tm3 0.6892 0.0685 0.6607 1
```

=====

Entry 4:
This entry pairs a crystal structure of TmNbAlMo with its calculated X-ray diffraction stick pattern. Radiation: λ = 1.5418 Å (Cu Kα). Structure: DFT lattice parameters and positions (GGA-PBE).

Principal peaks in the range 2θ from 5° to 70°, by intensity:
2theta, d [Å], I (rel.)
37.9, 2.374, 100
68.5, 1.371, 34
54.7, 1.679, 17
22.9, 3.877, 16
26.6, 3.357, 16
44.8, 2.024, 9
61.8, 1.501, 6
46.9, 1.938, 5
60.1, 1.540, 4

Structure:
```
data_TmNbAlMo
_space_group_name_H-M_alt 'P 1'
_space_group_IT_number 1
_space_group_name_Hall 'P 1'
_cell_length_a 4.7478
_cell_length_b 4.7478
_cell_length_c 4.7478
_cell_angle_alpha 60.00
_cell_angle_beta 60.00
_cell_angle_gamma 60.00
loop_
_atom_site_label
_atom_site_fract_x
_atom_site_fract_y
_atom_site_fract_z
_atom_site_occupancy
Tm1 0.0000 0.0000 0.0000 1
Nb1 0.5000 0.5000 0.5000 1
Al1 0.2500 0.2500 0.2500 1
Mo1 0.7500 0.7500 0.7500 1
```

=====

Entry 5:
This entry pairs a crystal structure of LaY5Cd3 with its calculated X-ray diffraction stick pattern. Radiation: λ = 1.5418 Å (Cu Kα). Structure: DFT lattice parameters and positions (GGA-PBE).

Principal peaks in the range 2θ from 5° to 70°, by intensity:
2theta, d [Å], I (rel.)
32.0, 2.796, 100
33.4, 2.682, 99
46.9, 1.935, 33
58.8, 1.569, 33
63.4, 1.466, 29
59.7, 1.548, 18
42.5, 2.129, 10
52.2, 1.751, 9
25.4, 3.502, 7
66.0, 1.416, 3

Structure:
```
data_LaY5Cd3
_space_group_name_H-M_alt 'P 1'
_space_group_IT_number 1
_space_group_name_Hall 'P 1'
_cell_length_a 9.2895
_cell_length_b 9.2895
_cell_length_c 7.0040
_cell_angle_alpha 90.00
_cell_angle_beta 90.00
_cell_angle_gamma 120.00
loop_
_atom_site_label
_atom_site_fract_x
_atom_site_fract_y
_atom_site_fract_z
_atom_site_occupancy
La1 0.0000 0.0000 0.0000 1
La2 0.0000 0.0000 0.5000 1
Y1 0.0000 0.3343 0.2500 1
Y2 0.0000 0.6657 0.7500 1
Y3 0.3333 0.6667 0.0000 1
Y4 0.3333 0.6667 0.5000 1
Y5 0.3343 0.0000 0.2500 1
Y6 0.3343 0.3343 0.7500 1
Y7 0.6657 0.0000 0.7500 1
Y8 0.6657 0.6657 0.2500 1
Y9 0.6667 0.3333 0.0000 1
Y10 0.6667 0.3333 0.5000 1
Cd1 0.0000 0.3392 0.7500 1
Cd2 0.0000 0.6608 0.2500 1
Cd3 0.3392 0.0000 0.7500 1
Cd4 0.3392 0.3392 0.2500 1
Cd5 0.6608 0.0000 0.2500 1
Cd6 0.6608 0.6608 0.7500 1
```

=====

Entry 6:
This entry pairs a crystal structure of Tb3ScP4 with its calculated X-ray diffraction stick pattern. Radiation: λ = 1.5418 Å (Cu Kα). Structure: DFT lattice parameters and positions (GGA-PBE).

Principal peaks in the range 2θ from 5° to 70°, by intensity:
2theta, d [Å], I (rel.)
31.9, 2.804, 100
27.6, 3.237, 72
45.8, 1.982, 72
54.3, 1.691, 35
56.9, 1.619, 25
13.7, 6.471, 13
66.7, 1.402, 11
26.4, 3.382, 10
34.9, 2.573, 6
15.8, 5.605, 5

Structure:
```
data_Tb3ScP4
_space_group_name_H-M_alt 'P 1'
_space_group_IT_number 1
_space_group_name_Hall 'P 1'
_cell_length_a 6.8640
_cell_length_b 6.8640
_cell_length_c 3.9694
_cell_angle_alpha 90.00
_cell_angle_beta 90.00
_cell_angle_gamma 109.48
loop_
_atom_site_label
_atom_site_fract_x
_atom_site_fract_y
_atom_site_fract_z
_atom_site_occupancy
Tb1 0.0000 0.0000 0.0000 1
Tb2 0.0000 0.5000 0.5000 1
Tb3 0.5000 0.0000 0.5000 1
Sc1 0.5000 0.5000 0.0000 1
P1 0.2554 0.7446 0.0000 1
P2 0.2605 0.2605 0.5000 1
P3 0.7395 0.7395 0.5000 1
P4 0.7446 0.2554 0.0000 1
```

=====

Entry 7:
This entry pairs a crystal structure of Al7Ru with its calculated X-ray diffraction stick pattern. Radiation: λ = 1.5418 Å (Cu Kα). Structure: DFT lattice parameters and positions (GGA-PBE).

Principal peaks in the range 2θ from 5° to 70°, by intensity:
2theta, d [Å], I (rel.)
39.6, 2.275, 100
46.1, 1.970, 48
19.5, 4.550, 42
67.2, 1.393, 31
37.9, 2.376, 23
22.6, 3.940, 22
32.1, 2.786, 18
50.5, 1.808, 10
51.9, 1.762, 9
61.1, 1.517, 7

Structure:
```
data_Al7Ru
_space_group_name_H-M_alt 'P 1'
_space_group_IT_number 1
_space_group_name_Hall 'P 1'
_cell_length_a 5.5727
_cell_length_b 5.5727
_cell_length_c 5.5727
_cell_angle_alpha 60.00
_cell_angle_beta 60.00
_cell_angle_gamma 60.00
loop_
_atom_site_label
_atom_site_fract_x
_atom_site_fract_y
_atom_site_fract_z
_atom_site_occupancy
Al1 0.0000 0.0000 0.0000 1
Al2 0.0000 0.0000 0.5000 1
Al3 0.0000 0.5000 0.0000 1
Al4 0.0000 0.5000 0.5000 1
Al5 0.5000 0.0000 0.0000 1
Al6 0.5000 0.0000 0.5000 1
Al7 0.5000 0.5000 0.0000 1
Ru1 0.5000 0.5000 0.5000 1
```

=====

Entry 8:
This entry pairs a crystal structure of KErGe2Br8 with its calculated X-ray diffraction stick pattern. Radiation: λ = 1.5418 Å (Cu Kα). Structure: DFT lattice parameters and positions (GGA-PBE).

Principal peaks in the range 2θ from 5° to 70°, by intensity:
2theta, d [Å], I (rel.)
9.6, 9.212, 100
27.1, 3.285, 99
34.2, 2.619, 85
18.9, 4.707, 70
27.6, 3.231, 70
17.4, 5.089, 70
15.1, 5.880, 70
36.0, 2.495, 63
26.6, 3.357, 60
16.4, 5.396, 56

Structure:
```
data_KErGe2Br8
_space_group_name_H-M_alt 'P 1'
_space_group_IT_number 1
_space_group_name_Hall 'P 1'
_cell_length_a 6.6494
_cell_length_b 7.2713
_cell_length_c 9.2328
_cell_angle_alpha 86.20
_cell_angle_beta 89.35
_cell_angle_gamma 85.47
loop_
_atom_site_label
_atom_site_fract_x
_atom_site_fract_y
_atom_site_fract_z
_atom_site_occupancy
K1 0.0000 0.0000 0.0000 1
Er1 0.0000 0.0000 0.5000 1
Ge1 0.4552 0.4484 0.2608 1
Ge2 0.5448 0.5516 0.7392 1
Br1 0.2259 0.8212 0.2926 1
Br2 0.2296 0.3149 0.4691 1
Br3 0.2666 0.8611 0.7216 1
Br4 0.2710 0.3609 0.0492 1
Br5 0.7290 0.6391 0.9508 1
Br6 0.7334 0.1389 0.2784 1
Br7 0.7704 0.6851 0.5309 1
Br8 0.7741 0.1788 0.7074 1
```

=====

Entry 9:
This entry pairs a crystal structure of Mn2AlHRu with its calculated X-ray diffraction stick pattern. Radiation: λ = 1.5418 Å (Cu Kα). Structure: DFT lattice parameters and positions (GGA-PBE).

Principal peaks in the range 2θ from 5° to 70°, by intensity:
2theta, d [Å], I (rel.)
41.4, 2.179, 100
50.2, 1.817, 28
44.1, 2.054, 21
69.0, 1.361, 21
32.9, 2.722, 20
24.5, 3.634, 20
61.3, 1.511, 6
51.1, 1.788, 5
56.6, 1.625, 4
21.6, 4.109, 1

Structure:
```
data_Mn2AlHRu
_space_group_name_H-M_alt 'P 1'
_space_group_IT_number 1
_space_group_name_Hall 'P 1'
_cell_length_a 3.6344
_cell_length_b 3.6344
_cell_length_c 4.1086
_cell_angle_alpha 90.00
_cell_angle_beta 90.00
_cell_angle_gamma 90.00
loop_
_atom_site_label
_atom_site_fract_x
_atom_site_fract_y
_atom_site_fract_z
_atom_site_occupancy
Mn1 0.0000 0.5000 0.0000 1
Mn2 0.5000 0.0000 0.0000 1
Al1 0.0000 0.0000 0.5000 1
H1 0.0000 0.0000 0.0000 1
Ru1 0.5000 0.5000 0.5000 1
```

=====

Entry 10:
This entry pairs a crystal structure of Ti2Cd5Pd12 with its calculated X-ray diffraction stick pattern. Radiation: λ = 1.5418 Å (Cu Kα). Structure: DFT lattice parameters and positions (GGA-PBE).

Principal peaks in the range 2θ from 5° to 70°, by intensity:
2theta, d [Å], I (rel.)
38.9, 2.316, 100
38.4, 2.343, 34
36.1, 2.487, 26
36.7, 2.451, 24
44.1, 2.052, 24
36.3, 2.474, 20
39.4, 2.289, 19
43.4, 2.087, 18
45.7, 1.986, 11
47.3, 1.921, 11

Structure:
```
data_Ti2Cd5Pd12
_space_group_name_H-M_alt 'P 1'
_space_group_IT_number 1
_space_group_name_Hall 'P 1'
_cell_length_a 7.5724
_cell_length_b 7.5724
_cell_length_c 6.4672
_cell_angle_alpha 90.34
_cell_angle_beta 90.34
_cell_angle_gamma 60.99
loop_
_atom_site_label
_atom_site_fract_x
_atom_site_fract_y
_atom_site_fract_z
_atom_site_occupancy
Ti1 0.2105 0.7895 0.0000 1
Ti2 0.7895 0.2105 0.0000 1
Cd1 0.2030 0.2030 0.9869 1
Cd2 0.2591 0.2591 0.4226 1
Cd3 0.5000 0.5000 0.5000 1
Cd4 0.7409 0.7409 0.5774 1
Cd5 0.7970 0.7970 0.0131 1
Pd1 0.0490 0.0490 0.3045 1
Pd2 0.0754 0.6811 0.3370 1
Pd3 0.1634 0.5393 0.7574 1
Pd4 0.3189 0.9246 0.6630 1
Pd5 0.4097 0.4097 0.1067 1
Pd6 0.4607 0.8366 0.2426 1
Pd7 0.5393 0.1634 0.7574 1
Pd8 0.5903 0.5903 0.8933 1
Pd9 0.6811 0.0754 0.3370 1
Pd10 0.8366 0.4607 0.2426 1
Pd11 0.9246 0.3189 0.6630 1
Pd12 0.9510 0.9510 0.6955 1
```

=====

Entry 11:
This entry pairs a crystal structure of BaCaDySbO6 with its calculated X-ray diffraction stick pattern. Radiation: λ = 1.5418 Å (Cu Kα). Structure: DFT lattice parameters and positions (GGA-PBE).

Principal peaks in the range 2θ from 5° to 70°, by intensity:
2theta, d [Å], I (rel.)
30.0, 2.978, 100
53.3, 1.719, 40
43.0, 2.106, 31
62.4, 1.489, 19
21.1, 4.211, 14
18.2, 4.862, 11
35.3, 2.539, 7
48.3, 1.883, 6
47.0, 1.932, 4
66.6, 1.404, 3

Structure:
```
data_BaCaDySbO6
_space_group_name_H-M_alt 'P 1'
_space_group_IT_number 1
_space_group_name_Hall 'P 1'
_cell_length_a 5.9553
_cell_length_b 5.9553
_cell_length_c 5.9553
_cell_angle_alpha 60.00
_cell_angle_beta 60.00
_cell_angle_gamma 60.00
loop_
_atom_site_label
_atom_site_fract_x
_atom_site_fract_y
_atom_site_fract_z
_atom_site_occupancy
Ba1 0.0000 0.0000 0.0000 1
Ca1 0.5000 0.5000 0.5000 1
Dy1 0.7500 0.7500 0.7500 1
Sb1 0.2500 0.2500 0.2500 1
O1 0.0127 0.0127 0.4873 1
O2 0.0127 0.4873 0.0127 1
O3 0.0127 0.4873 0.4873 1
O4 0.4873 0.0127 0.0127 1
O5 0.4873 0.0127 0.4873 1
O6 0.4873 0.4873 0.0127 1
```

=====

Entry 12:
This entry pairs a crystal structure of Li2NbP2O8 with its calculated X-ray diffraction stick pattern. Radiation: λ = 1.5418 Å (Cu Kα). Structure: DFT lattice parameters and positions (GGA-PBE).

Principal peaks in the range 2θ from 5° to 70°, by intensity:
2theta, d [Å], I (rel.)
23.8, 3.732, 100
12.0, 7.355, 61
31.9, 2.803, 37
35.9, 2.500, 23
43.6, 2.077, 14
57.7, 1.598, 14
42.4, 2.133, 14
62.7, 1.481, 13
48.8, 1.866, 12
64.6, 1.444, 10

Structure:
```
data_Li2NbP2O8
_space_group_name_H-M_alt 'P 1'
_space_group_IT_number 1
_space_group_name_Hall 'P 1'
_cell_length_a 5.0007
_cell_length_b 5.0007
_cell_length_c 7.3548
_cell_angle_alpha 90.00
_cell_angle_beta 90.00
_cell_angle_gamma 120.00
loop_
_atom_site_label
_atom_site_fract_x
_atom_site_fract_y
_atom_site_fract_z
_atom_site_occupancy
Li1 0.3333 0.6667 0.1979 1
Li2 0.6667 0.3333 0.8021 1
Nb1 0.0000 0.0000 0.5000 1
P1 0.3333 0.6667 0.7444 1
P2 0.6667 0.3333 0.2556 1
O1 0.0515 0.6895 0.6654 1
O2 0.3105 0.3620 0.6654 1
O3 0.3333 0.6667 0.9462 1
O4 0.3620 0.0515 0.3346 1
O5 0.6380 0.9485 0.6654 1
O6 0.6667 0.3333 0.0538 1
O7 0.6895 0.6380 0.3346 1
O8 0.9485 0.3105 0.3346 1
```

=====

Entry 13:
This entry pairs a crystal structure of KYSc with its calculated X-ray diffraction stick pattern. Radiation: λ = 1.5418 Å (Cu Kα). Structure: DFT lattice parameters and positions (GGA-PBE).

Principal peaks in the range 2θ from 5° to 70°, by intensity:
2theta, d [Å], I (rel.)
30.7, 2.916, 100
9.3, 9.481, 51
55.9, 1.644, 25
31.8, 2.818, 25
28.2, 3.160, 23
36.2, 2.484, 16
43.0, 2.103, 14
43.3, 2.090, 12
18.7, 4.741, 12
27.5, 3.238, 9

Structure:
```
data_KYSc
_space_group_name_H-M_alt 'P 1'
_space_group_IT_number 1
_space_group_name_Hall 'P 1'
_cell_length_a 9.8913
_cell_length_b 9.6947
_cell_length_c 3.4686
_cell_angle_alpha 83.01
_cell_angle_beta 76.62
_cell_angle_gamma 20.37
loop_
_atom_site_label
_atom_site_fract_x
_atom_site_fract_y
_atom_site_fract_z
_atom_site_occupancy
K1 0.0000 0.0000 0.0000 1
Y1 0.3090 0.3090 0.6910 1
Sc1 0.6807 0.6807 0.3193 1
```